For Ho4IrPd2, a PBE-relaxed structure gives the computed XRD peak list in this record (copper Kα).
Neutral-atom scattering factors, no anomalous dispersion.

Structural model:
Cell: 7.5059 7.5059 8.6483 Å, 125.17 125.17 70.35°
Atoms (fractional coordinates):
Ho  0.0682  0.0682  0.2577
Ho  0.3115  0.5507  0.6207
Ho  0.4483  0.1888  0.8788
Ho  0.4493  0.6885  0.3793
Ho  0.5691  0.0675  0.2587
Ho  0.8112  0.5517  0.1212
Ho  0.9325  0.4309  0.7413
Ho  0.9318  0.9318  0.7423
Ir  0.5653  0.1849  0.6253
Ir  0.8151  0.4347  0.3747
Pd  0.0705  0.9295  0.5000
Pd  0.1907  0.3103  0.1206
Pd  0.3105  0.6895  0.0000
Pd  0.6897  0.8093  0.8794

Top 6 peaks for 2θ from 10° to 90°, sorted by position:
- 2θ 32.5, I = 57
- 2θ 32.7, I = 100
- 2θ 38.8, I = 34
- 2θ 38.9, I = 54
- 2θ 49.3, I = 17
- 2θ 54.1, I = 16

For Pm4Ho3Ir4, a PBE-relaxed structure gives the computed XRD peak list in this record (copper Kα).
Neutral-atom scattering factors, no anomalous dispersion.

Structural model:
Cell: 9.5528 9.5528 9.5528 Å, 157.32 125.45 59.82°
Atoms (fractional coordinates):
Pm  0.0225  0.8347  0.1878
Pm  0.3531  0.1653  0.1878
Pm  0.6469  0.8347  0.8122
Pm  0.9775  0.1653  0.8122
Ho  0.0000  0.5000  0.5000
Ho  0.4036  0.4036  0.0000
Ho  0.5964  0.5964  0.0000
Ir  0.2616  0.7616  0.5000
Ir  0.2827  0.0000  0.2827
Ir  0.7173  0.0000  0.7173
Ir  0.7384  0.2384  0.5000

Top 6 peaks for 2θ from 10° to 90°, sorted by position:
- 2θ 31.9, I = 100
- 2θ 33.8, I = 86
- 2θ 34.8, I = 50
- 2θ 36.2, I = 35
- 2θ 38.6, I = 49
- 2θ 40.6, I = 36

For PmHo3Ir3, a PBE-relaxed structure gives the computed XRD peak list in this record (copper Kα).
Neutral-atom scattering factors, no anomalous dispersion.

Structural model:
Cell: 7.0114 7.0114 6.6118 Å, 90.00 90.00 91.94°
Atoms (fractional coordinates):
Pm  0.2351  0.2351  0.0000
Pm  0.7649  0.7649  0.0000
Ho  0.2555  0.2555  0.5000
Ho  0.2562  0.7438  0.5000
Ho  0.2701  0.7299  0.0000
Ho  0.7299  0.2701  0.0000
Ho  0.7438  0.2562  0.5000
Ho  0.7445  0.7445  0.5000
Ir  0.0000  0.5000  0.2534
Ir  0.0000  0.5000  0.7466
Ir  0.5000  0.0000  0.2534
Ir  0.5000  0.0000  0.7466
Ir  0.5000  0.5000  0.2542
Ir  0.5000  0.5000  0.7458

Top 6 peaks for 2θ from 10° to 90°, sorted by position:
- 2θ 12.6, I = 20
- 2θ 35.6, I = 28
- 2θ 36.9, I = 26
- 2θ 37.4, I = 100
- 2θ 52.2, I = 19
- 2θ 65.2, I = 19